Diffraction record for K2Fe3Cl9. The powder diffractogram is calculated, not measured: it uses a structure optimized by DFT (PBE) and Cu Kα, 1.54184 Å.

Principal peaks in the range 10 to 90 degrees two-theta, by angle:
2θ (°), I_rel
10.53, 61
11.18, 66
19.00, 77
19.95, 71
24.00, 47
31.91, 40
32.99, 100
37.72, 65
39.87, 53
50.73, 42

Atomic structure:
```
data_K2Fe3Cl9
_cell_length_a 11.102
_cell_length_b 16.371
_cell_length_c 10.092
_cell_angle_alpha 90.00
_cell_angle_beta 118.11
_cell_angle_gamma 90.00
_space_group_name_H-M_alt 'C 1 2/m 1'
_space_group_IT_number 12
_space_group_name_Hall '-C 2y'
loop_
_atom_site_label
_atom_site_type_symbol
_atom_site_fract_x
_atom_site_fract_y
_atom_site_fract_z
K1 K 0.064 0.168 0.296
Fe1 Fe 0.158 0.500 0.836
Fe2 Fe 0.175 0.379 0.196
Cl1 Cl 0.000 0.289 0.000
Cl2 Cl 0.020 0.400 0.289
Cl3 Cl 0.185 0.219 0.645
Cl4 Cl 0.198 0.000 0.667
Cl5 Cl 0.213 0.000 0.277
Cl6 Cl 0.233 0.102 0.970
```